Structure and computed powder diffractogram of BaLiH3 (the GGA-PBE geometry in the Materials Project; Cu Ka).
Neutral-atom scattering factors, no anomalous dispersion.

Crystal structure
Cell: 4.0188 4.0188 4.0188 Å, 90.00 90.00 90.00°
Atoms (fractional coordinates):
Ba  0.0000  0.0000  0.0000
Li  0.5000  0.5000  0.5000
H  0.0000  0.5000  0.5000
H  0.5000  0.0000  0.5000
H  0.5000  0.5000  0.0000

Principal peaks in the range 10° ≤ 2θ ≤ 90°, by angle:
hkl	two_theta	I (rel.)
1 0 0	22.1	100
1 1 0	31.5	97
1 1 1	38.8	34
2 0 0	45.1	19
2 1 0	50.8	43
2 1 1	56.1	38
2 2 0	65.7	12
3 0 0	70.3	21
3 1 0	74.7	16
3 1 1	79.0	13